# BaMg6Mo
Computed powder diffractogram, Cu Kα (λ = 1.5418 Å). Input: a DFT-relaxed cell (PBE, the Materials Project).

Structural model:
Cell lengths 5.186, 6.657, 6.657 Å; angles 59.91, 90.00, 90.00 degrees
Element x y z (fractional)
1 Ba 0.000 0.000 0.000
2 Mg 0.000 0.505 0.505
3 Mg 0.000 0.526 0.986
4 Mg 0.000 0.986 0.526
5 Mg 0.500 0.337 0.337
6 Mg 0.500 0.371 0.825
7 Mg 0.500 0.825 0.371
8 Mo 0.500 0.819 0.819

Principal peaks in the range 2θ = 5–70°, by angle:
2θ (°)  I_rel
15.38  60.3
23.07  49.3
31.04  25.1
31.95  25.5
34.59  25.0
35.65  100.0